(1)
The following is a simulated powder diffraction line list of BaNdCo2O6. It was derived from the GGA+U geometry in the Materials Project, using CuKα.
Peak positions follow from Bragg's law for the DFT cell and can differ from measured ones.

Principal peaks in the range 15° ≤ 2θ ≤ 90°, most intense first:
d/Å  Position (°2θ)  intensity  index
2.764  32.39  100  1 0 2
2.727  32.85  48  1 1 0
1.581  58.35  37  2 1 2
1.928  47.14  31  2 0 0
2.247  40.14  25  1 1 2
1.603  57.47  21  1 1 4
1.382  67.80  18  2 0 4
1.982  45.77  16  0 0 4
3.856  23.06  11  1 0 0
1.123  86.67  9  2 2 4

Structural model:
```
BaNdCo2O6
1.0
3.856 0.000 0.000
0.000 3.856 0.000
0.000 0.000 7.930
Ba Nd Co O
1 1 2 6
Cartesian
0.000 0.000 0.000
0.000 0.000 3.965
1.928 1.928 2.004
1.928 1.928 5.926
0.000 1.928 2.206
0.000 1.928 5.724
1.928 0.000 2.206
1.928 0.000 5.724
1.928 1.928 0.000
1.928 1.928 3.965
```

---

(2)
The following is a simulated powder diffraction line list of Mn2BrO3. It was derived from the GGA+U geometry in the Materials Project, using CuKα.
Peak positions follow from Bragg's law for the DFT cell and can differ from measured ones.

Principal peaks in the range 15° ≤ 2θ ≤ 90°, most intense first:
d/Å  Position (°2θ)  intensity  index
2.784  32.16  100  1 2 1
5.309  16.70  73  0 1 1
2.741  32.67  71  2 1 0
3.975  22.37  63  1 1 1
2.242  40.22  62  2 2 0
2.635  34.02  61  0 1 3
2.147  42.09  44  0 0 4
1.689  54.31  38  0 4 0
1.764  51.82  32  2 2 3
1.800  50.71  28  2 3 0

Structural model:
```
Mn2BrO3
1.0
5.997 0.000 0.000
0.000 6.754 0.000
0.000 0.000 8.587
Mn Br O
8 4 12
Cartesian
0.000 0.000 0.000
0.000 3.377 0.000
1.158 1.689 2.140
1.841 5.066 6.433
2.999 0.000 4.293
2.999 3.377 4.293
4.156 1.689 2.153
4.840 5.066 6.446
0.902 1.689 4.644
2.096 5.066 0.351
3.901 1.689 8.236
5.095 5.066 3.943
0.317 3.801 6.667
0.317 6.331 6.667
1.050 1.689 0.178
1.949 5.066 4.472
2.682 0.424 2.374
2.682 2.954 2.374
3.315 3.801 6.213
3.315 6.331 6.213
4.048 1.689 4.115
4.947 5.066 8.408
5.680 0.424 1.920
5.680 2.954 1.920
```

---

(3)
The following is a simulated powder diffraction line list of PrMn2O5. It was derived from the GGA+U geometry in the Materials Project, using CuKα.
Peak positions follow from Bragg's law for the DFT cell and can differ from measured ones.

Principal peaks in the range 15° ≤ 2θ ≤ 90°, most intense first:
d/Å  Position (°2θ)  intensity  index
3.005  29.73  100  2 1 1
3.187  28.00  66  1 2 1
2.730  32.81  38  1 3 0
5.838  15.18  29  0 0 1
2.604  34.44  26  1 1 2
2.243  40.20  25  2 1 2
3.505  25.41  23  0 2 1
1.605  57.43  21  3 3 2
1.753  52.19  21  0 4 2
1.599  57.64  20  4 0 2

Structural model:
```
PrMn2O5
1.0
7.648 0.000 0.000
0.000 8.767 0.000
0.000 0.000 5.838
Pr Mn O
4 8 20
Cartesian
1.088 1.510 0.000
2.736 5.894 0.000
4.912 2.873 0.000
6.560 7.256 0.000
0.000 4.383 1.502
0.000 4.383 4.336
0.690 7.459 2.919
3.134 3.076 2.919
3.824 0.000 1.502
3.824 0.000 4.336
4.513 5.691 2.919
6.958 1.307 2.919
0.000 0.000 1.620
0.000 0.000 4.218
0.747 6.197 1.450
0.747 6.197 4.388
1.165 3.830 2.919
1.201 3.929 0.000
2.623 8.313 0.000
2.659 8.213 2.919
3.076 1.813 1.450
3.076 1.813 4.388
3.824 4.383 1.620
3.824 4.383 4.218
4.571 6.953 1.450
4.571 6.953 4.388
4.989 0.554 2.919
5.024 0.454 0.000
6.447 4.837 0.000
6.482 4.937 2.919
6.900 2.570 1.450
6.900 2.570 4.388
```

---

Q: Which formula does entry 1 have?
A: BaNdCo2O6